This entry pairs a crystal structure of GaAu with its simulated powder diffraction line list. Radiation: Cu Kα (λ = 1.5418 Å). Structure: a crystal structure in Alexandria, relaxed with PBE.
Lines closer than 0.1° are merged.

Main lines, low angle first (2θ = 10–90°):
Position (°2θ)	I (rel.)
21.56	51
24.70	41
29.65	42
32.63	78
38.14	100
41.66	95
51.05	87
61.80	28
64.44	26
81.03	37

Cell and atoms:
Unit cell a=7.2084 b=7.2084 c=5.4890 alpha=90.00 beta=90.00 gamma=120.00
Space group P6_3/m (No. 176)
Inequivalent atoms, fractional coordinates:
Ga 0.0809 0.7555 0.2500 (multiplicity 6)
Au 0.1000 0.6658 0.7500 (multiplicity 6)